Record 1
This entry pairs a crystal structure of CaHoHg2 with its theoretical powder diffraction line list. Radiation: Cu Kα (λ = 1.5418 Å). Structure: a crystal structure in the Materials Project, relaxed with PBE.
Intensities are scaled so that the largest is 100.

```
4
Lattice="0.0000 3.7359 3.7359 3.7359 0.0000 3.7359 3.7359 3.7359 0.0000" Properties=species:S:1:pos:R:3 pbc="T T T"
Ca 0.0000 0.0000 0.0000
Ho 3.7359 3.7359 3.7359
Hg 1.8680 1.8680 1.8680
Hg 5.6039 5.6039 5.6039
```

Most intense lines, 2θ from 10° to 80°, low angle first:
2θ (°)	I_rel
20.6	9
23.8	12
33.9	100
48.8	18
60.7	38
71.4	12

Record 2
This entry pairs a crystal structure of LiZrN2 with its theoretical powder diffraction line list. Radiation: Cu Kα (λ = 1.5418 Å). Structure: a crystal structure in the Materials Project, relaxed with PBE.
Intensities are scaled so that the largest is 100.

```
4
Lattice="3.3009 0.0000 0.0000 -1.6499 2.8594 0.0000 -0.0527 -0.1691 5.4243" Properties=species:S:1:pos:R:3 pbc="T T T"
Li 0.0000 0.0000 0.0000
Zr -0.0392 1.7596 3.0247
N 1.6081 0.8006 4.2466
N 1.6110 2.7107 1.9998
```

Most intense lines, 2θ from 10° to 80°, low angle first:
2θ (°)	I_rel
16.3	100
31.3	38
35.1	19
35.4	19
36.0	19
55.7	17

Record 3
This entry pairs a crystal structure of LiErGe with its theoretical powder diffraction line list. Radiation: Cu Kα (λ = 1.5418 Å). Structure: a crystal structure in the Materials Project, relaxed with PBE.
Intensities are scaled so that the largest is 100.

```
9
Lattice="7.0103 0.0000 0.0000 -3.5052 6.0711 0.0000 0.0000 0.0000 4.2301" Properties=species:S:1:pos:R:3 pbc="T T T"
Li -0.8181 1.4170 0.0000
Li 1.6362 0.0000 0.0000
Li 2.6870 4.6541 0.0000
Er -2.0169 3.4934 2.1151
Er 1.4882 2.5777 2.1151
Er 4.0339 0.0000 2.1151
Ge 0.0000 0.0000 2.1151
Ge 0.0000 4.0474 0.0000
Ge 3.5052 2.0237 0.0000
```

Most intense lines, 2θ from 10° to 80°, low angle first:
2θ (°)	I_rel
21.0	41
25.4	37
29.4	41
33.2	77
36.4	100
59.0	31

Record 4
This entry pairs a crystal structure of TeMoS with its theoretical powder diffraction line list. Radiation: Cu Kα (λ = 1.5418 Å). Structure: a crystal structure in the Materials Project, relaxed with PBE.
Intensities are scaled so that the largest is 100.

```
12
Lattice="3.3625 0.0000 0.0000 -1.6813 2.9120 0.0000 0.0000 0.0000 39.7425" Properties=species:S:1:pos:R:3 pbc="T T T"
Te 0.0000 1.9413 14.1955
Te 0.0000 1.9413 17.9711
Te 1.6813 0.9707 21.7714
Te 1.6813 0.9707 25.5471
Mo 0.0000 1.9413 8.6680
Mo 0.0000 1.9413 23.6602
Mo 1.6813 0.9707 16.0824
Mo 1.6813 0.9707 31.0745
S 0.0000 1.9413 29.5622
S 0.0000 1.9413 32.5896
S 1.6813 0.9707 7.1530
S 1.6813 0.9707 10.1803
```

Most intense lines, 2θ from 10° to 80°, low angle first:
2θ (°)	I_rel
11.1	100
30.7	62
35.7	87
37.0	27
42.9	57
54.6	40